(1)
For Ac3GaTe2, a crystal structure in Alexandria, relaxed with GGA-PBE gives the simulated powder diffractogram in this record (Cu Kα (weighted mean of Kα1 and Kα2)).
Kinematic intensities with the Lorentz-polarization factor, no thermal factor.

Structural model:
Unit cell a=6.667 b=14.140 c=9.425 alpha=90.00 beta=90.00 gamma=90.00
Atoms (fractional coordinates):
1 Ac 0.249 0.250 0.374
2 Ac 0.249 0.250 0.874
3 Ac 0.250 0.577 0.359
4 Ac 0.250 0.579 0.886
5 Ac 0.250 0.921 0.386
6 Ac 0.250 0.923 0.859
7 Ac 0.750 0.077 0.141
8 Ac 0.750 0.079 0.614
9 Ac 0.750 0.421 0.114
10 Ac 0.750 0.423 0.641
11 Ac 0.751 0.750 0.126
12 Ac 0.751 0.750 0.626
13 Ga 0.249 0.090 0.625
14 Ga 0.249 0.410 0.125
15 Ga 0.751 0.590 0.875
16 Ga 0.751 0.910 0.375
17 Te 0.250 0.082 0.123
18 Te 0.250 0.418 0.623
19 Te 0.251 0.743 0.624
20 Te 0.251 0.757 0.124
21 Te 0.749 0.243 0.876
22 Te 0.749 0.257 0.376
23 Te 0.750 0.582 0.377
24 Te 0.750 0.918 0.877

Peak list (10 most intense, 2θ = 10–80°, low angle first)
- 2θ 23.1, I = 22
- 2θ 26.7, I = 100
- 2θ 38.2, I = 78
- 2θ 45.1, I = 12
- 2θ 47.2, I = 28
- 2θ 55.1, I = 13
- 2θ 60.5, I = 5
- 2θ 62.3, I = 36
- 2θ 69.0, I = 26
- 2θ 73.9, I = 4

=====

(2)
For AcGaTe, a crystal structure in Alexandria, relaxed with GGA-PBE gives the simulated powder diffractogram in this record (Cu Kα (weighted mean of Kα1 and Kα2)).
Kinematic intensities with the Lorentz-polarization factor, no thermal factor.

Structural model:
Unit cell a=11.939 b=11.939 c=11.939 alpha=117.69 beta=117.69 gamma=117.69
Atoms (fractional coordinates):
1 Ac 0.252 0.342 0.699
2 Ac 0.301 0.748 0.658
3 Ac 0.342 0.699 0.252
4 Ac 0.658 0.301 0.748
5 Ac 0.699 0.252 0.342
6 Ac 0.748 0.658 0.301
7 Ga 0.112 0.756 0.348
8 Ga 0.244 0.652 0.888
9 Ga 0.348 0.112 0.756
10 Ga 0.652 0.888 0.244
11 Ga 0.756 0.348 0.112
12 Ga 0.888 0.244 0.652
13 Te 0.117 0.223 0.857
14 Te 0.143 0.883 0.777
15 Te 0.223 0.857 0.117
16 Te 0.777 0.143 0.883
17 Te 0.857 0.117 0.223
18 Te 0.883 0.777 0.143

Peak list (10 most intense, 2θ = 10–80°, low angle first)
- 2θ 20.9, I = 29
- 2θ 23.0, I = 25
- 2θ 27.3, I = 77
- 2θ 31.3, I = 100
- 2θ 31.6, I = 36
- 2θ 34.2, I = 43
- 2θ 34.9, I = 37
- 2θ 40.5, I = 21
- 2θ 45.4, I = 23
- 2θ 55.5, I = 22